Structure and simulated X-ray powder pattern of Sm6C3Cl2 (a structure optimized by DFT (PBE); Cu Kα (weighted mean of Kα1 and Kα2)).
Lines closer than 0.1° are merged.

Structural model:
```
data_Sm6C3Cl2
_chemical_formula_sum 'Sm12 C6 Cl4'
_symmetry_space_group_name_H-M 'C 1 2/m 1'
_symmetry_Int_Tables_number 12
_symmetry_space_group_name_Hall '-C 2y'
_cell_length_a 6.514
_cell_length_b 11.270
_cell_length_c 7.040
_cell_angle_alpha 90.00
_cell_angle_beta 108.02
_cell_angle_gamma 90.00
loop_
_atom_site_label
_atom_site_fract_x
_atom_site_fract_y
_atom_site_fract_z
Sm1 0.231 0.000 0.203
Sm2 0.235 0.335 0.202
C1 0.000 0.168 0.000
C2 0.000 0.500 0.000
Cl1 0.000 0.333 0.500
```

Main lines, by angle (10 to 90 degrees two-theta):
d [Å], intensity
6.694, 17
3.347, 26
3.097, 96
2.731, 100
2.529, 21
1.988, 24
1.880, 25
1.639, 21
1.548, 17
1.437, 18

Structure and simulated X-ray powder pattern of NiSn2HgPb (a structure optimized by DFT (PBE); Cu Kα (weighted mean of Kα1 and Kα2)).
Lines closer than 0.1° are merged.

Structural model:
```
data_NiSn2HgPb
_chemical_formula_sum 'Ni1 Sn2 Hg1 Pb1'
_symmetry_space_group_name_H-M 'P 4/m m m'
_symmetry_Int_Tables_number 123
_symmetry_space_group_name_Hall '-P 4 2'
_cell_length_a 5.038
_cell_length_b 5.038
_cell_length_c 5.102
_cell_angle_alpha 90.00
_cell_angle_beta 90.00
_cell_angle_gamma 90.00
loop_
_atom_site_label
_atom_site_fract_x
_atom_site_fract_y
_atom_site_fract_z
Ni1 0.000 0.000 0.000
Sn1 0.000 0.500 0.000
Hg1 0.000 0.000 0.500
Pb1 0.500 0.500 0.500
```

Main lines, by angle (10 to 90 degrees two-theta):
d [Å], intensity
3.563, 13
2.921, 100
2.551, 26
2.519, 51
1.792, 37
1.781, 18
1.535, 15
1.521, 30
1.460, 19
1.163, 13

Structure and simulated X-ray powder pattern of Rb2TiPtI6 (a structure optimized by DFT (PBE); Cu Kα (weighted mean of Kα1 and Kα2)).
Lines closer than 0.1° are merged.

Structural model:
```
data_Rb2TiPtI6
_chemical_formula_sum 'Rb4 Ti2 Pt2 I12'
_symmetry_space_group_name_H-M 'I 4/m m m'
_symmetry_Int_Tables_number 139
_symmetry_space_group_name_Hall '-I 4 2'
_cell_length_a 7.915
_cell_length_b 7.915
_cell_length_c 12.494
_cell_angle_alpha 90.00
_cell_angle_beta 90.00
_cell_angle_gamma 90.00
loop_
_atom_site_label
_atom_site_fract_x
_atom_site_fract_y
_atom_site_fract_z
Rb1 0.000 0.500 0.250
Ti1 0.000 0.000 0.000
Pt1 0.000 0.000 0.500
I1 0.000 0.000 0.225
I2 0.245 0.245 0.500
```

Main lines, by angle (10 to 90 degrees two-theta):
d [Å], intensity
6.247, 26
5.597, 38
3.343, 100
3.124, 57
2.798, 92
2.084, 74
1.979, 33
1.703, 27
1.671, 41
1.162, 23

Please write out number 2 again, unchanged.
Structure and simulated X-ray powder pattern of NiSn2HgPb (a structure optimized by DFT (PBE); Cu Kα (weighted mean of Kα1 and Kα2)).
Lines closer than 0.1° are merged.

Structural model:
```
data_NiSn2HgPb
_chemical_formula_sum 'Ni1 Sn2 Hg1 Pb1'
_symmetry_space_group_name_H-M 'P 4/m m m'
_symmetry_Int_Tables_number 123
_symmetry_space_group_name_Hall '-P 4 2'
_cell_length_a 5.038
_cell_length_b 5.038
_cell_length_c 5.102
_cell_angle_alpha 90.00
_cell_angle_beta 90.00
_cell_angle_gamma 90.00
loop_
_atom_site_label
_atom_site_fract_x
_atom_site_fract_y
_atom_site_fract_z
Ni1 0.000 0.000 0.000
Sn1 0.000 0.500 0.000
Hg1 0.000 0.000 0.500
Pb1 0.500 0.500 0.500
```

Main lines, by angle (10 to 90 degrees two-theta):
d [Å], intensity
3.563, 13
2.921, 100
2.551, 26
2.519, 51
1.792, 37
1.781, 18
1.535, 15
1.521, 30
1.460, 19
1.163, 13